Record 1
This entry pairs a crystal structure of AlNiN2O with its simulated X-ray powder pattern. Radiation: Cu Kα (weighted mean of Kα1 and Kα2). Structure: the PBE+U geometry in Alexandria.

Principal peaks in the range 2θ = 10–80°, low angle first:
2theta, Rel. int., h k l
23.63, 9, 1 0 0
33.66, 60, 1 1 0
34.06, 100, 1 0 1
41.88, 61, 1 1 1
48.35, 54, 2 0 0
49.54, 25, 0 0 2
60.46, 38, 2 1 1
61.23, 21, 1 1 2
70.78, 15, 2 2 0
71.72, 28, 2 0 2

Structural model:
Cell: 3.765 3.765 3.680 Å, 90.00 90.00 90.00°
Space group P4/mmm (No. 123)
One atom of each set of equivalent atoms:
Al1 0.000 0.000 0.000 (multiplicity 1)
Ni1 0.500 0.500 0.500 (multiplicity 1)
N1 0.000 0.500 0.000 (multiplicity 2)
O1 0.000 0.000 0.500 (multiplicity 1)

=====

Record 2
This entry pairs a crystal structure of Rb2CoBO4 with its simulated X-ray powder pattern. Radiation: Cu Kα (weighted mean of Kα1 and Kα2). Structure: the PBE+U geometry in Alexandria.

Principal peaks in the range 2θ = 10–80°, low angle first:
2theta, Rel. int., h k l
21.00, 46, 1 1 1
24.25, 37, 1 1 3
29.77, 30, 1 1 5
29.99, 100, 0 2 6
30.41, 36, 1 3 1
30.94, 39, 0 4 0
32.80, 36, 1 3 3
37.17, 48, 1 3 5
41.82, 31, 2 2 0
57.30, 29, 2 4 6

Structural model:
Cell: 4.657 11.559 20.867 Å, 90.00 90.00 90.00°
Space group Fddd (No. 70, origin choice 2)
One atom of each set of equivalent atoms:
Rb1 0.125 0.125 0.298 (multiplicity 16)
Co1 0.125 0.125 0.125 (multiplicity 8)
B1 0.125 0.125 0.625 (multiplicity 8)
O1 0.071 0.299 0.835 (multiplicity 32)